Structure and simulated powder diffraction line list of YTm9Sc2 (the PBE geometry in Alexandria; a wavelength of 1.5418 Å).
Lines closer than 0.1° are merged.

Structure:
```
YTm9Sc2
1.0
4.8924 0.0000 0.0000
0.0000 4.8924 0.0000
0.0000 0.0000 14.6640
Y Tm Sc
1 9 2
Cartesian
0.0000 0.0000 0.0000
0.0000 2.4462 2.5165
0.0000 2.4462 7.3320
0.0000 2.4462 12.1475
2.4462 0.0000 2.5165
2.4462 0.0000 7.3320
2.4462 0.0000 12.1475
2.4462 2.4462 0.0000
2.4462 2.4462 4.9302
2.4462 2.4462 9.7338
0.0000 0.0000 4.9148
0.0000 0.0000 9.7492
```

Most intense lines, 10° ≤ 2θ ≤ 80°, in order of rising 2θ:
2theta	d_spacing	I_rel
18.14	4.891	102
25.76	3.458	91
31.69	2.824	1000
36.75	2.445	503
41.28	2.187	54
45.42	1.997	41
52.95	1.729	351
56.44	1.630	28
63.04	1.475	413
66.19	1.412	119
72.28	1.307	22
78.17	1.223	55

Structure and simulated powder diffraction line list of Y2Tm3Sc3 (the PBE geometry in Alexandria; a wavelength of 1.5418 Å).
Lines closer than 0.1° are merged.

Structure:
```
Y2Tm3Sc3
1.0
4.8085 0.0000 0.0000
0.0000 4.8790 0.0000
0.0000 0.0000 19.3887
Y Tm Sc
4 6 6
Cartesian
0.0000 0.0000 4.8315
0.0000 0.0000 14.5571
2.4042 2.4395 4.8628
2.4042 2.4395 14.5259
0.0000 0.0000 0.0000
0.0000 2.4395 2.3394
0.0000 2.4395 17.0493
2.4042 0.0000 7.3550
2.4042 0.0000 12.0337
2.4042 2.4395 9.6943
0.0000 0.0000 9.6943
0.0000 2.4395 7.3292
0.0000 2.4395 12.0595
2.4042 0.0000 2.3651
2.4042 0.0000 17.0235
2.4042 2.4395 0.0000
```

Most intense lines, 10° ≤ 2θ ≤ 80°, in order of rising 2θ:
2theta	d_spacing	I_rel
19.02	4.667	236
22.84	3.894	130
32.00	2.797	1000
36.84	2.439	171
37.10	2.424	164
37.40	2.404	164
53.28	1.719	114
53.52	1.712	138
63.35	1.468	136
63.68	1.461	128
64.10	1.453	131
66.90	1.399	113

Structure and simulated powder diffraction line list of YTm7Sc3 (the PBE geometry in Alexandria; a wavelength of 1.5418 Å).
Lines closer than 0.1° are merged.

Structure:
```
YTm7Sc3
1.0
6.6087 0.0000 0.0000
0.0000 5.3193 0.0000
-2.3356 0.0000 9.2130
Y Tm Sc
1 7 3
Cartesian
0.0000 0.0000 0.0000
-1.1678 0.0000 4.6065
-0.7752 2.6597 7.1795
1.8062 2.6597 1.1933
2.2669 0.0000 3.0375
2.0062 0.0000 6.1755
2.4669 2.6597 8.0197
5.0483 2.6597 2.0336
0.6857 2.6597 4.4059
3.3043 0.0000 0.0000
3.5874 2.6597 4.8072
```

Most intense lines, 10° ≤ 2θ ≤ 80°, in order of rising 2θ:
2theta	d_spacing	I_rel
19.27	4.607	245
25.58	3.482	108
27.14	3.286	273
31.44	2.846	312
32.63	2.744	458
33.67	2.662	1000
34.34	2.611	128
35.38	2.537	136
43.79	2.067	155
49.66	1.836	104
53.70	1.707	103
60.25	1.536	136

Structure and simulated powder diffraction line list of YTm10Sc2 (the PBE geometry in Alexandria; a wavelength of 1.5418 Å).
Lines closer than 0.1° are merged.

Structure:
```
YTm10Sc2
1.0
0.0000 7.5306 8.4269
3.1930 0.0000 8.4269
3.1930 7.5306 0.0000
Y Tm Sc
1 10 2
Cartesian
0.0000 0.0000 0.0000
1.5965 0.0000 4.2135
3.1930 2.7201 5.6999
3.1930 5.9441 6.7553
3.1930 2.7201 11.1540
3.1930 5.9441 10.0986
1.5965 7.5306 4.2135
3.1930 9.1171 6.7553
3.1930 12.3410 5.6999
3.1930 9.1171 10.0986
3.1930 12.3410 11.1540
1.5965 3.7653 0.0000
1.5965 3.7653 8.4269
```

Most intense lines, 10° ≤ 2θ ≤ 80°, in order of rising 2θ:
2theta	d_spacing	I_rel
27.62	3.229	834
27.94	3.193	474
30.57	2.924	778
31.87	2.808	747
32.25	2.776	751
33.31	2.689	1000
34.07	2.632	448
35.27	2.545	826
36.66	2.451	391
36.91	2.435	488
51.14	1.786	322
57.03	1.615	545

Structure and simulated powder diffraction line list of Y3Tm4Sc (the PBE geometry in Alexandria; a wavelength of 1.5418 Å).
Lines closer than 0.1° are merged.

Structure:
```
Y3Tm4Sc
1.0
11.0561 0.0000 0.0000
0.0000 7.1407 0.0000
0.0000 0.0000 6.1665
Y Tm Sc
6 8 2
Cartesian
0.0000 0.8956 0.0000
2.7522 0.8931 2.0702
2.7759 6.2476 5.1534
5.5281 6.2451 3.0832
8.2802 6.2476 5.1534
8.3040 0.8931 2.0702
0.0000 2.6911 3.1292
0.0000 4.4593 0.0173
2.7165 4.4627 2.0843
2.8116 2.6779 5.1676
5.5281 2.6814 3.1005
5.5281 4.4496 0.0460
8.2446 2.6779 5.1676
8.3396 4.4627 2.0843
0.0000 6.2335 3.0868
5.5281 0.9072 0.0035
```

Most intense lines, 10° ≤ 2θ ≤ 80°, in order of rising 2θ:
2theta	d_spacing	I_rel
12.40	7.141	138
24.97	3.566	84
28.92	3.088	242
32.39	2.764	237
33.24	2.696	1000
43.96	2.060	175
51.18	1.785	78
51.29	1.781	129
58.31	1.582	196
61.87	1.500	73
61.98	1.497	145
62.41	1.488	107

Structure and simulated powder diffraction line list of Y5Tm4Sc2 (the PBE geometry in Alexandria; a wavelength of 1.5418 Å).
Lines closer than 0.1° are merged.

Structure:
```
Y5Tm4Sc2
1.0
11.4115 -1.7510 0.0000
11.4115 1.7510 0.0000
-2.2516 0.0000 8.2490
Y Tm Sc
5 4 2
Cartesian
0.0000 0.0000 0.0000
5.8877 0.0000 1.5406
6.2575 0.0000 7.5455
14.3139 0.0000 0.7034
14.6837 0.0000 6.7084
3.1115 0.0000 3.7326
8.9749 0.0000 5.2154
11.5965 0.0000 3.0335
17.4599 0.0000 4.5164
0.4040 0.0000 5.9518
20.1674 0.0000 2.2972
```

Most intense lines, 10° ≤ 2θ ≤ 80°, in order of rising 2θ:
2theta	d_spacing	I_rel
10.72	8.249	113
11.59	7.636	50
31.43	2.847	1000
36.26	2.478	340
36.82	2.441	161
52.18	1.753	59
52.24	1.751	65
52.64	1.739	228
62.22	1.492	274
62.96	1.476	101
65.62	1.423	87
76.97	1.239	38

Structure and simulated powder diffraction line list of Y8Tm2Sc3 (the PBE geometry in Alexandria; a wavelength of 1.5418 Å).
Lines closer than 0.1° are merged.

Structure:
```
Y8Tm2Sc3
1.0
9.7150 -3.7768 0.0000
9.7150 3.7768 0.0000
-0.0016 0.0000 5.5377
Y Tm Sc
8 2 3
Cartesian
7.7357 2.1945 5.5370
3.2722 0.0000 2.7713
11.6926 2.1945 0.0007
7.2478 0.0000 2.7699
12.1805 0.0000 2.7678
7.7357 -2.1945 5.5370
16.1562 0.0000 2.7664
11.6926 -2.1945 0.0007
5.0633 0.0000 0.0029
14.3650 0.0000 5.5348
9.7142 2.2072 2.7688
9.7150 0.0000 0.0000
9.7142 -2.2072 2.7688
```

Most intense lines, 10° ≤ 2θ ≤ 80°, in order of rising 2θ:
2theta	d_spacing	I_rel
16.00	5.538	137
25.30	3.520	355
30.49	2.932	342
32.02	2.795	428
32.33	2.769	437
34.15	2.625	1000
41.49	2.176	188
48.19	1.888	93
58.84	1.569	203
59.03	1.565	90
59.23	1.560	99
66.27	1.410	95

Structure and simulated powder diffraction line list of Y3Tm3Sc2 (the PBE geometry in Alexandria; a wavelength of 1.5418 Å).
Lines closer than 0.1° are merged.

Structure:
```
Y3Tm3Sc2
1.0
17.0842 0.0000 0.0000
0.0000 5.3709 0.0000
-1.7608 0.0000 5.2091
Y Tm Sc
6 6 4
Cartesian
0.0000 0.0000 0.0000
1.2084 0.0000 3.5162
5.5728 2.6855 1.6929
8.5421 2.6855 0.0000
9.7505 2.6855 3.5162
14.1149 0.0000 1.6929
-0.8804 2.6855 2.6045
2.1931 2.6855 0.5621
4.5881 0.0000 4.6470
7.6617 0.0000 2.6045
10.7352 0.0000 0.5621
13.1302 2.6855 4.6470
3.7443 0.0000 1.5528
3.0370 2.6855 3.6563
11.5791 0.0000 3.6563
12.2863 2.6855 1.5528
```

Most intense lines, 10° ≤ 2θ ≤ 80°, in order of rising 2θ:
2theta	d_spacing	I_rel
17.40	5.098	94
23.12	3.846	123
25.67	3.471	185
32.12	2.786	1000
32.57	2.749	230
33.37	2.685	248
44.80	2.023	77
47.32	1.921	160
56.99	1.616	78
57.79	1.595	91
58.85	1.569	169
67.20	1.393	81

Which formula does entry 3 have? YTm7Sc3

Repeat the first record exactly.
Structure and simulated powder diffraction line list of YTm9Sc2 (the PBE geometry in Alexandria; a wavelength of 1.5418 Å).
Lines closer than 0.1° are merged.

Structure:
```
YTm9Sc2
1.0
4.8924 0.0000 0.0000
0.0000 4.8924 0.0000
0.0000 0.0000 14.6640
Y Tm Sc
1 9 2
Cartesian
0.0000 0.0000 0.0000
0.0000 2.4462 2.5165
0.0000 2.4462 7.3320
0.0000 2.4462 12.1475
2.4462 0.0000 2.5165
2.4462 0.0000 7.3320
2.4462 0.0000 12.1475
2.4462 2.4462 0.0000
2.4462 2.4462 4.9302
2.4462 2.4462 9.7338
0.0000 0.0000 4.9148
0.0000 0.0000 9.7492
```

Most intense lines, 10° ≤ 2θ ≤ 80°, in order of rising 2θ:
2theta	d_spacing	I_rel
18.14	4.891	102
25.76	3.458	91
31.69	2.824	1000
36.75	2.445	503
41.28	2.187	54
45.42	1.997	41
52.95	1.729	351
56.44	1.630	28
63.04	1.475	413
66.19	1.412	119
72.28	1.307	22
78.17	1.223	55